The following is a simulated powder X-ray diffraction pattern of AcDySe2S. It was derived from DFT lattice parameters and positions (GGA-PBE), using CuKα.
Intensities are scaled so that the largest is 100.

Structure:
```
data_AcDySe2S
_chemical_formula_sum 'Ac2 Dy2 Se4 S2'
_space_group_name_H-M_alt 'P 4/n m m'
_space_group_IT_number 129
_cell_length_a 4.3317
_cell_length_b 4.3317
_cell_length_c 14.9533
_cell_angle_alpha 90.00
_cell_angle_beta 90.00
_cell_angle_gamma 90.00
loop_
_space_group_symop_operation_xyz
'x,y,z'
'-x,-y,-z'
'-y+1/2,x,z'
'y+1/2,-x,-z'
'-x+1/2,-y+1/2,z'
'x+1/2,y+1/2,-z'
'y,-x+1/2,z'
'-y,x+1/2,-z'
'x+1/2,-y,-z'
'-x+1/2,y,z'
'-y,-x,-z'
'y,x,z'
'-x,y+1/2,-z'
'x,-y+1/2,z'
'y+1/2,x+1/2,-z'
'-y+1/2,-x+1/2,z'
loop_
_atom_site_label
_atom_site_type_symbol
_atom_site_fract_x
_atom_site_fract_y
_atom_site_fract_z
Ac1 Ac 0.2500 0.2500 0.1289
Dy1 Dy 0.2500 0.2500 0.6031
Se1 Se 0.2500 0.2500 0.4068
Se2 Se 0.2500 0.2500 0.7839
S1 S 0.2500 0.7500 0.0000
```

Top 12 peaks for 2θ = 10–80°, low angle first:
d_spacing	I/Imax	hkl
3.745	100	0 0 4
3.270	14	1 0 3
3.063	80	1 1 0
2.610	12	1 1 3
2.369	48	1 1 4
2.166	39	2 0 0
2.160	33	1 0 6
1.875	39	2 0 4
1.530	36	2 2 0
1.417	12	2 2 4
1.370	14	3 1 0
1.286	14	3 1 4

***

The following is a simulated powder X-ray diffraction pattern of Hg2SbPt. It was derived from DFT lattice parameters and positions (GGA-PBE), using CuKα.
Intensities are scaled so that the largest is 100.

Structure:
```
data_Hg2SbPt
_chemical_formula_sum 'Hg2 Sb1 Pt1'
_space_group_name_H-M_alt 'P 4 m m'
_space_group_IT_number 99
_cell_length_a 3.2845
_cell_length_b 3.2845
_cell_length_c 8.7792
_cell_angle_alpha 90.00
_cell_angle_beta 90.00
_cell_angle_gamma 90.00
loop_
_space_group_symop_operation_xyz
'x,y,z'
'-y,x,z'
'-x,-y,z'
'y,-x,z'
'-x,y,z'
'y,x,z'
'x,-y,z'
'-y,-x,z'
loop_
_atom_site_label
_atom_site_type_symbol
_atom_site_fract_x
_atom_site_fract_y
_atom_site_fract_z
Hg1 Hg 0.0000 0.0000 0.0000
Hg2 Hg 0.5000 0.5000 0.2729
Sb1 Sb 0.5000 0.5000 0.6741
Pt1 Pt 0.0000 0.0000 0.5034
```

Top 12 peaks for 2θ = 10–80°, low angle first:
d_spacing	I/Imax	hkl
8.779	13	0 0 1
3.076	6	1 0 1
2.926	6	0 0 3
2.630	100	1 0 2
2.322	42	1 1 0
2.195	9	0 0 4
2.185	8	1 0 3
1.819	6	1 1 3
1.642	15	2 0 0
1.595	14	1 1 4
1.393	29	2 1 2
1.315	8	2 0 4

***

The following is a simulated powder X-ray diffraction pattern of SrPr3Rh8. It was derived from DFT lattice parameters and positions (GGA-PBE), using CuKα.
Intensities are scaled so that the largest is 100.

Structure:
```
data_SrPr3Rh8
_chemical_formula_sum 'Sr3 Pr9 Rh24'
_space_group_name_H-M_alt 'R 3 m'
_space_group_IT_number 160
_space_group_name_Hall 'R 3 -2"'
_cell_length_a 5.4411
_cell_length_b 5.4411
_cell_length_c 26.7725
_cell_angle_alpha 90.00
_cell_angle_beta 90.00
_cell_angle_gamma 120.00
loop_
_atom_site_label
_atom_site_type_symbol
_atom_site_fract_x
_atom_site_fract_y
_atom_site_fract_z
Sr1 Sr 0.0000 0.0000 0.0000
Pr1 Pr 0.0000 0.0000 0.1242
Pr2 Pr 0.0000 0.0000 0.5010
Pr3 Pr 0.0000 0.0000 0.6270
Rh1 Rh 0.0000 0.0000 0.3129
Rh2 Rh 0.0000 0.0000 0.8131
Rh3 Rh 0.0011 0.5005 0.0640
Rh4 Rh 0.1674 0.3349 0.8955
```

Top 12 peaks for 2θ = 10–80°, low angle first:
d_spacing	I/Imax	hkl
2.724	45	1 1 0
2.324	100	1 1 6
2.320	33	2 0 2
2.231	11	0 0 12
2.222	34	0 2 4
1.577	4	1 0 16
1.572	13	3 0 0
1.484	24	2 1 10
1.482	16	3 0 6
1.364	18	0 2 16
1.360	18	2 2 0
1.219	4	2 1 16

***

The following is a simulated powder X-ray diffraction pattern of In2Si. It was derived from DFT lattice parameters and positions (GGA-PBE), using CuKα.
Intensities are scaled so that the largest is 100.

Structure:
```
data_In2Si
_chemical_formula_sum 'In8 Si4'
_space_group_name_H-M_alt 'C 1 m 1'
_space_group_IT_number 8
_cell_length_a 11.3590
_cell_length_b 3.6850
_cell_length_c 7.4327
_cell_angle_alpha 90.00
_cell_angle_beta 107.27
_cell_angle_gamma 90.00
loop_
_space_group_symop_operation_xyz
'x,y,z'
'x,-y,z'
'x+1/2,y+1/2,z'
'x+1/2,-y+1/2,z'
loop_
_atom_site_label
_atom_site_type_symbol
_atom_site_fract_x
_atom_site_fract_y
_atom_site_fract_z
In1 In 0.0000 0.0000 0.0000
In2 In 0.0472 0.5000 0.4182
In3 In 0.2069 0.0000 0.7491
In4 In 0.3650 0.5000 0.5647
Si1 Si 0.2048 0.5000 0.1945
Si2 Si 0.3167 0.0000 0.1323
```

Top 12 peaks for 2θ = 10–80°, low angle first:
d_spacing	I/Imax	hkl
3.257	50	1 1 -1
3.019	35	1 1 1
2.829	33	4 0 -1
2.633	53	2 0 2
2.612	100	3 1 -1
2.581	24	3 1 0
2.452	24	2 0 -3
2.275	35	3 1 1
2.051	26	1 1 -3
1.842	20	0 2 0
1.492	24	5 1 -4
1.472	24	7 1 -2

***

The following is a simulated powder X-ray diffraction pattern of Ho2Th2Sc15. It was derived from DFT lattice parameters and positions (GGA-PBE), using CuKα.
Intensities are scaled so that the largest is 100.

Structure:
```
data_Ho2Th2Sc15
_chemical_formula_sum 'Ho6 Th6 Sc45'
_space_group_name_H-M_alt 'R -3 m'
_space_group_IT_number 166
_space_group_name_Hall '-R 3 2"'
_cell_length_a 10.5862
_cell_length_b 10.5862
_cell_length_c 15.9649
_cell_angle_alpha 90.00
_cell_angle_beta 90.00
_cell_angle_gamma 120.00
loop_
_atom_site_label
_atom_site_type_symbol
_atom_site_fract_x
_atom_site_fract_y
_atom_site_fract_z
Ho1 Ho 0.0000 0.0000 0.1095
Th1 Th 0.0000 0.0000 0.3488
Sc1 Sc 0.0000 0.3130 0.0000
Sc2 Sc 0.0000 0.5000 0.5000
Sc3 Sc 0.0165 0.5083 0.1505
```

Top 12 peaks for 2θ = 10–80°, low angle first:
d_spacing	I/Imax	hkl
5.294	69	1 1 0
3.753	18	1 1 3
3.659	41	1 0 4
3.056	60	3 0 0
3.011	48	0 2 4
2.648	100	2 2 0
2.617	56	2 1 4
2.145	19	1 3 4
1.861	18	3 2 4
1.534	17	0 3 9
1.528	17	6 0 0
1.522	14	5 1 4

***

The following is a simulated powder X-ray diffraction pattern of ZnSb4O9. It was derived from DFT lattice parameters and positions (GGA-PBE), using CuKα.
Intensities are scaled so that the largest is 100.

Structure:
```
data_ZnSb4O9
_chemical_formula_sum 'Zn2 Sb8 O18'
_space_group_name_H-M_alt 'P 4/n'
_space_group_IT_number 85
_cell_length_a 9.3386
_cell_length_b 9.3386
_cell_length_c 5.1266
_cell_angle_alpha 90.00
_cell_angle_beta 90.00
_cell_angle_gamma 90.00
loop_
_space_group_symop_operation_xyz
'x,y,z'
'-x,-y,-z'
'-y+1/2,x,z'
'y+1/2,-x,-z'
'-x+1/2,-y+1/2,z'
'x+1/2,y+1/2,-z'
'y,-x+1/2,z'
'-y,x+1/2,-z'
loop_
_atom_site_label
_atom_site_type_symbol
_atom_site_fract_x
_atom_site_fract_y
_atom_site_fract_z
Zn1 Zn 0.2500 0.2500 0.0397
Sb1 Sb 0.0231 0.8312 0.3591
O1 O 0.0391 0.1924 0.9922
O2 O 0.0507 0.3595 0.4882
O3 O 0.2500 0.7500 0.5000
```

Top 12 peaks for 2θ = 10–80°, low angle first:
d_spacing	I/Imax	hkl
5.127	36	0 0 1
4.494	22	1 0 1
4.049	20	1 1 1
3.302	17	2 2 0
3.238	100	1 2 1
2.953	71	3 1 0
2.559	18	1 3 1
2.185	41	1 2 2
2.088	30	2 4 0
1.755	26	4 3 1
1.510	22	4 3 2
1.479	21	3 1 3

***

The following is a simulated powder X-ray diffraction pattern of Rb2TlPtI6. It was derived from DFT lattice parameters and positions (GGA-PBE), using CuKα.
Intensities are scaled so that the largest is 100.

Structure:
```
data_Rb2TlPtI6
_chemical_formula_sum 'Rb12 Tl6 Pt6 I36'
_space_group_name_H-M_alt 'R -3 m'
_space_group_IT_number 166
_space_group_name_Hall '-R 3 2"'
_cell_length_a 8.0955
_cell_length_b 8.0955
_cell_length_c 49.0379
_cell_angle_alpha 90.00
_cell_angle_beta 90.00
_cell_angle_gamma 120.00
loop_
_atom_site_label
_atom_site_type_symbol
_atom_site_fract_x
_atom_site_fract_y
_atom_site_fract_z
Rb1 Rb 0.0000 0.0000 0.1379
Rb2 Rb 0.0000 0.0000 0.3073
Tl1 Tl 0.0000 0.0000 0.4176
Pt1 Pt 0.0000 0.0000 0.0000
Pt2 Pt 0.0000 0.0000 0.5000
I1 I 0.0048 0.5024 0.1340
I2 I 0.0138 0.5069 0.6995
```

Top 12 peaks for 2θ = 10–80°, low angle first:
d_spacing	I/Imax	hkl
8.173	36	0 0 6
6.940	21	1 0 1
6.741	77	0 1 2
5.704	24	0 1 5
4.048	19	1 1 0
3.301	30	2 0 5
3.135	100	0 2 7
2.876	42	1 1 12
2.756	49	2 0 11
2.478	29	2 0 14
2.024	51	2 2 0
1.625	19	2 2 18

***

The following is a simulated powder X-ray diffraction pattern of Sm4Tl2S. It was derived from DFT lattice parameters and positions (GGA-PBE), using CuKα.
Intensities are scaled so that the largest is 100.

Structure:
```
data_Sm4Tl2S
_chemical_formula_sum 'Sm8 Tl4 S2'
_space_group_name_H-M_alt 'C 1 2/m 1'
_space_group_IT_number 12
_cell_length_a 12.7964
_cell_length_b 4.1113
_cell_length_c 9.1703
_cell_angle_alpha 90.00
_cell_angle_beta 122.91
_cell_angle_gamma 90.00
loop_
_space_group_symop_operation_xyz
'x,y,z'
'-x,-y,-z'
'-x,y,-z'
'x,-y,z'
'x+1/2,y+1/2,z'
'-x+1/2,-y+1/2,-z'
'-x+1/2,y+1/2,-z'
'x+1/2,-y+1/2,z'
loop_
_atom_site_label
_atom_site_type_symbol
_atom_site_fract_x
_atom_site_fract_y
_atom_site_fract_z
Sm1 Sm 0.0881 0.0000 0.3521
Sm2 Sm 0.1628 0.5000 0.0665
Tl1 Tl 0.1316 0.5000 0.6689
S1 S 0.0000 0.0000 0.0000
```

Top 12 peaks for 2θ = 10–80°, low angle first:
d_spacing	I/Imax	hkl
3.197	54	1 1 1
3.028	99	1 1 -2
2.954	100	3 1 -1
2.819	44	3 1 -2
2.744	59	4 0 -3
2.700	80	3 1 0
2.686	52	4 0 0
2.566	59	0 0 3
2.488	57	1 1 2
2.420	37	3 1 -3
2.056	51	0 2 0
1.667	38	7 1 -3

***

Copy entry 7 word for word.
The following is a simulated powder X-ray diffraction pattern of Rb2TlPtI6. It was derived from DFT lattice parameters and positions (GGA-PBE), using CuKα.
Intensities are scaled so that the largest is 100.

Structure:
```
data_Rb2TlPtI6
_chemical_formula_sum 'Rb12 Tl6 Pt6 I36'
_space_group_name_H-M_alt 'R -3 m'
_space_group_IT_number 166
_space_group_name_Hall '-R 3 2"'
_cell_length_a 8.0955
_cell_length_b 8.0955
_cell_length_c 49.0379
_cell_angle_alpha 90.00
_cell_angle_beta 90.00
_cell_angle_gamma 120.00
loop_
_atom_site_label
_atom_site_type_symbol
_atom_site_fract_x
_atom_site_fract_y
_atom_site_fract_z
Rb1 Rb 0.0000 0.0000 0.1379
Rb2 Rb 0.0000 0.0000 0.3073
Tl1 Tl 0.0000 0.0000 0.4176
Pt1 Pt 0.0000 0.0000 0.0000
Pt2 Pt 0.0000 0.0000 0.5000
I1 I 0.0048 0.5024 0.1340
I2 I 0.0138 0.5069 0.6995
```

Top 12 peaks for 2θ = 10–80°, low angle first:
d_spacing	I/Imax	hkl
8.173	36	0 0 6
6.940	21	1 0 1
6.741	77	0 1 2
5.704	24	0 1 5
4.048	19	1 1 0
3.301	30	2 0 5
3.135	100	0 2 7
2.876	42	1 1 12
2.756	49	2 0 11
2.478	29	2 0 14
2.024	51	2 2 0
1.625	19	2 2 18